Diffraction record for V2H3O5. The powder XRD pattern is computed, not measured: it uses a cell relaxed with GGA+U and copper Kα.
Kinematic intensities with the Lorentz-polarization factor, no thermal factor.

Most intense lines, 2θ from 15° to 90°, in order of rising 2θ:
18.42°, intensity 100.0; 21.89°, intensity 59.4; 29.52°, intensity 41.4; 35.77°, intensity 95.0; 46.26°, intensity 28.7; 47.54°, intensity 14.9; 49.32°, intensity 38.8; 53.60°, intensity 14.9

Crystal structure
a = 6.307 Å, b = 6.307 Å, c = 4.866 Å
α = 97.93°, β = 97.93°, γ = 28.48°
Element x y z (fractional)
V 0.000 0.000 0.000
V 0.723 0.723 0.210
H 0.210 0.210 0.662
H 0.383 0.383 0.636
H 0.524 0.524 0.458
O 0.162 0.162 0.967
O 0.247 0.247 0.490
O 0.462 0.462 0.728
O 0.554 0.554 0.273
O 0.855 0.855 0.126